Calculated XRD peak list
Compound: Li2CrS4
Radiation: a wavelength of 1.5418 Å
Structure: a DFT-relaxed cell (PBE, Alexandria)

The 8 most intense peaks (5° ≤ 2θ ≤ 70°), by angle:
hkl 2 0 0, 2θ 14.95, I = 100
hkl 0 0 1, 2θ 16.73, I = 44
hkl 2 0 -2, 2θ 30.20, I = 43
hkl 0 0 2, 2θ 33.78, I = 41
hkl 3 1 0, 2θ 34.74, I = 64
hkl 5 1 -1, 2θ 43.30, I = 40
hkl 2 0 -3, 2θ 46.60, I = 36
hkl 5 1 -3, 2θ 56.10, I = 33

Crystal structure
abc: 13.215 3.412 5.921
angles: 90.00 116.29 90.00
Positions (direct):
Li (0.207, 0.000, 0.239)
Li (0.293, 0.500, 0.761)
Li (0.707, 0.500, 0.239)
Li (0.793, 0.000, 0.761)
Cr (0.000, 0.500, 0.500)
Cr (0.500, 0.000, 0.500)
S (0.064, 0.500, 0.949)
S (0.135, 0.000, 0.566)
S (0.365, 0.500, 0.434)
S (0.436, 0.000, 0.051)
S (0.564, 0.000, 0.949)
S (0.635, 0.500, 0.566)
S (0.865, 0.000, 0.434)
S (0.936, 0.500, 0.051)